(1)
Diffraction record for K2Mo3As3. The powder XRD pattern is simulated, not measured: it uses a crystal structure in OQMD, relaxed with PBE and Cu Kα (weighted mean of Kα1 and Kα2).
No peak broadening, texture or thermal motion is included.

The 8 most intense peaks (10 to 90 degrees two-theta), in order of falling intensity:
- hkl 4 0 1, 2θ = 45.67°, I 100
- hkl 3 0 1, 2θ = 36.44°, I 97
- hkl 3 1 1, 2θ = 41.92°, I 70
- hkl 0 0 2, 2θ = 40.37°, I 44
- hkl 3 0 0, 2θ = 30.23°, I 36
- hkl 2 0 1, 2θ = 28.35°, I 34
- hkl 1 0 2, 2θ = 41.69°, I 27
- hkl 4 0 0, 2θ = 40.69°, I 22

Structure:
Unit cell a=10.2424 b=10.2424 c=4.4682 alpha=90.00 beta=90.00 gamma=120.00
Space group P-6m2 (No. 187)
Asymmetric unit:
K: 0.0000 0.0000 0.0000 [1 per cell]
K: 0.2038 0.4077 0.5000 [3 per cell]
Mo: 0.4821 0.2410 0.0000 [3 per cell]
Mo: 0.5775 0.1549 0.5000 [3 per cell]
As: 0.0110 0.5055 0.0000 [3 per cell]
As: 0.3208 0.1604 0.5000 [3 per cell]

=====

(2)
Diffraction record for KIn3Ga6Co2. The powder XRD pattern is simulated, not measured: it uses a crystal structure in OQMD, relaxed with PBE and Cu Kα (weighted mean of Kα1 and Kα2).
No peak broadening, texture or thermal motion is included.

The 8 most intense peaks (10 to 90 degrees two-theta), in order of falling intensity:
- hkl 1 0 0, 2θ = 11.91°, I 100
- hkl 2 0 1, 2θ = 33.02°, I 99
- hkl 2 1 1, 2θ = 39.29°, I 76
- hkl 2 2 0, 2θ = 42.12°, I 32
- hkl 2 2 1, 2θ = 48.21°, I 28
- hkl 0 0 2, 2θ = 45.70°, I 24
- hkl 2 2 2, 2θ = 63.89°, I 17
- hkl 4 0 0, 2θ = 49.03°, I 17

Structure:
Unit cell a=8.5815 b=8.5815 c=3.9705 alpha=90.00 beta=90.00 gamma=120.00
Space group P6/mmm (No. 191)
Asymmetric unit:
K: 0.0000 0.0000 0.0000 [1 per cell]
In: 0.0000 0.5000 0.0000 [3 per cell]
Ga: 0.2172 0.4343 0.5000 [6 per cell]
Co: 0.3333 0.6667 0.0000 [2 per cell]

=====

(3)
Diffraction record for CsCdBO3. The powder XRD pattern is simulated, not measured: it uses a crystal structure in OQMD, relaxed with PBE and Cu Kα (weighted mean of Kα1 and Kα2).
No peak broadening, texture or thermal motion is included.

The 8 most intense peaks (10 to 90 degrees two-theta), in order of falling intensity:
- hkl 2 1 0, 2θ = 26.60°, I 100
- hkl 2 1 1, 2θ = 29.20°, I 73
- hkl 3 1 2, 2θ = 45.29°, I 52
- hkl 4 2 1, 2θ = 56.26°, I 25
- hkl 5 0 2, 2θ = 67.30°, I 17
- hkl 5 2 3, 2θ = 78.73°, I 17
- hkl 3 1 1, 2θ = 39.91°, I 15
- hkl 3 3 1, 2θ = 53.29°, I 15

Structure:
Unit cell a=7.493 b=7.493 c=7.493 alpha=90.00 beta=90.00 gamma=90.00
Space group P2_13 (No. 198)
Asymmetric unit:
Cs: 0.139 0.361 0.639 [4 per cell]
Cd: 0.145 0.145 0.145 [4 per cell]
B: 0.099 0.901 0.401 [4 per cell]
O: 0.025 0.411 0.237 [12 per cell]

=====

(4)
Diffraction record for FeNi2C6N6. The powder XRD pattern is simulated, not measured: it uses a crystal structure in OQMD, relaxed with PBE and Cu Kα (weighted mean of Kα1 and Kα2).
No peak broadening, texture or thermal motion is included.

The 8 most intense peaks (10 to 90 degrees two-theta), in order of falling intensity:
- hkl 2 2 0, 2θ = 25.45°, I 100
- hkl 2 0 0, 2θ = 17.92°, I 75
- hkl 4 0 0, 2θ = 36.30°, I 60
- hkl 1 1 1, 2θ = 15.50°, I 35
- hkl 6 2 0, 2θ = 59.02°, I 31
- hkl 4 4 0, 2θ = 52.28°, I 27
- hkl 4 2 2, 2θ = 44.86°, I 25
- hkl 6 4 2, 2θ = 71.30°, I 24

Structure:
Unit cell a=9.899 b=9.899 c=9.899 alpha=90.00 beta=90.00 gamma=90.00
Space group F-43m (No. 216)
Asymmetric unit:
Fe: 0.000 0.000 0.000 [4 per cell]
Ni: 0.000 0.000 0.500 [4 per cell]
Ni: 0.250 0.250 0.750 [4 per cell]
C: 0.000 0.000 0.187 [24 per cell]
N: 0.000 0.000 0.306 [24 per cell]